1.
This entry pairs a crystal structure of BeP2H4O4 with its theoretical X-ray diffraction stick pattern. Radiation: Cu Ka. Structure: a DFT-relaxed cell (GGA-PBE, the Materials Project).

The 10 most intense peaks (10° ≤ 2θ ≤ 80°), sorted by position:
- d = 4.568 Å, intensity 23
- d = 3.620 Å, intensity 20
- d = 3.599 Å, intensity 100
- d = 2.560 Å, intensity 9
- d = 2.530 Å, intensity 8
- d = 2.259 Å, intensity 5
- d = 2.168 Å, intensity 6
- d = 2.074 Å, intensity 6
- d = 2.039 Å, intensity 4
- d = 1.618 Å, intensity 5

Structural model:
Lattice parameters (Å, degrees): 5.1196 5.1196 20.2394 90.00 90.00 90.00
Space group P4_12_12 (No. 92)
Symmetry-distinct sites (fractional):
Be: 0.0044 0.0044 0.0000 [4 per cell]
P: 0.0063 0.4351 0.1787 [8 per cell]
H: 0.0077 0.1614 0.1878 [8 per cell]
H: 0.0253 0.4503 0.3611 [8 per cell]
O: 0.0452 0.2212 0.9410 [8 per cell]
O: 0.0522 0.7136 0.9698 [8 per cell]

2.
This entry pairs a crystal structure of PuF4 with its theoretical X-ray diffraction stick pattern. Radiation: Cu Ka. Structure: a DFT-relaxed cell (GGA-PBE, the Materials Project).

The 10 most intense peaks (10° ≤ 2θ ≤ 80°), sorted by position:
- d = 4.193 Å, intensity 76
- d = 4.158 Å, intensity 43
- d = 3.924 Å, intensity 64
- d = 3.708 Å, intensity 100
- d = 3.539 Å, intensity 47
- d = 3.290 Å, intensity 52
- d = 3.252 Å, intensity 27
- d = 2.070 Å, intensity 30
- d = 2.059 Å, intensity 30
- d = 1.935 Å, intensity 34

Structural model:
Lattice parameters (Å, degrees): 12.7131 10.7517 8.3235 90.00 126.39 90.00
Space group C2/c (No. 15)
Symmetry-distinct sites (fractional):
Pu: 0.0000 0.2136 0.2500 [4 per cell]
Pu: 0.2050 0.4275 0.8308 [8 per cell]
F: 0.0000 0.3970 0.7500 [4 per cell]
F: 0.1076 0.2936 0.5724 [8 per cell]
F: 0.1193 0.0545 0.4560 [8 per cell]
F: 0.1187 0.3777 0.2810 [8 per cell]
F: 0.1233 0.1511 0.1505 [8 per cell]
F: 0.2111 0.4693 0.1045 [8 per cell]
F: 0.2500 0.2500 0.0000 [4 per cell]

3.
This entry pairs a crystal structure of As with its theoretical X-ray diffraction stick pattern. Radiation: Cu Ka. Structure: a DFT-relaxed cell (GGA-PBE, the Materials Project).

The 10 most intense peaks (10° ≤ 2θ ≤ 80°), sorted by position:
- d = 3.539 Å, intensity 11
- d = 2.812 Å, intensity 100
- d = 2.072 Å, intensity 32
- d = 1.914 Å, intensity 35
- d = 1.788 Å, intensity 12
- d = 1.582 Å, intensity 17
- d = 1.406 Å, intensity 9
- d = 1.379 Å, intensity 8
- d = 1.299 Å, intensity 8
- d = 1.219 Å, intensity 14

Structural model:
Lattice parameters (Å, degrees): 3.8279 3.8279 10.6167 90.00 90.00 120.00
Space group R-3m (No. 166, hexagonal axes)
Symmetry-distinct sites (fractional):
As: 0.0000 0.0000 0.2273 [6 per cell]

4.
This entry pairs a crystal structure of Mg3Zn with its theoretical X-ray diffraction stick pattern. Radiation: Cu Ka. Structure: a DFT-relaxed cell (GGA-PBE, the Materials Project).

The 10 most intense peaks (10° ≤ 2θ ≤ 80°), sorted by position:
- d = 3.965 Å, intensity 23
- d = 3.434 Å, intensity 12
- d = 2.428 Å, intensity 100
- d = 2.071 Å, intensity 12
- d = 1.982 Å, intensity 3
- d = 1.717 Å, intensity 17
- d = 1.575 Å, intensity 5
- d = 1.536 Å, intensity 4
- d = 1.402 Å, intensity 33
- d = 1.214 Å, intensity 10

Structural model:
Lattice parameters (Å, degrees): 6.8674 6.8674 6.8674 90.00 90.00 90.00
Space group Fm-3m (No. 225)
Symmetry-distinct sites (fractional):
Mg: 0.0000 0.0000 0.0000 [4 per cell]
Mg: 0.2500 0.2500 0.2500 [8 per cell]
Zn: 0.0000 0.0000 0.5000 [4 per cell]

5.
This entry pairs a crystal structure of TiAs3 with its theoretical X-ray diffraction stick pattern. Radiation: Cu Ka. Structure: a DFT-relaxed cell (GGA-PBE, the Materials Project).

The 10 most intense peaks (10° ≤ 2θ ≤ 80°), sorted by position:
- d = 3.540 Å, intensity 12
- d = 2.546 Å, intensity 24
- d = 2.463 Å, intensity 31
- d = 2.262 Å, intensity 100
- d = 1.770 Å, intensity 16
- d = 1.605 Å, intensity 6
- d = 1.470 Å, intensity 14
- d = 1.380 Å, intensity 20
- d = 1.262 Å, intensity 17
- d = 1.232 Å, intensity 14

Structural model:
Lattice parameters (Å, degrees): 5.8804 5.8804 4.9253 90.00 90.00 120.00
Space group P6_3/mmc (No. 194)
Symmetry-distinct sites (fractional):
Ti: 0.3333 0.6667 0.2500 [2 per cell]
As: 0.1841 0.3681 0.7500 [6 per cell]

6.
This entry pairs a crystal structure of LaZn2 with its theoretical X-ray diffraction stick pattern. Radiation: Cu Ka. Structure: a DFT-relaxed cell (GGA-PBE, the Materials Project).

The 10 most intense peaks (10° ≤ 2θ ≤ 80°), sorted by position:
- d = 3.997 Å, intensity 9
- d = 2.757 Å, intensity 100
- d = 2.689 Å, intensity 27
- d = 2.411 Å, intensity 16
- d = 2.351 Å, intensity 26
- d = 2.227 Å, intensity 32
- d = 1.770 Å, intensity 15
- d = 1.683 Å, intensity 10
- d = 1.446 Å, intensity 15
- d = 1.424 Å, intensity 12

Structural model:
Lattice parameters (Å, degrees): 4.7024 7.6272 7.5851 90.00 90.00 90.00
Space group Imma (No. 74)
Symmetry-distinct sites (fractional):
La: 0.0000 0.2500 0.0428 [4 per cell]
Zn: 0.0000 0.0621 0.6649 [8 per cell]

7.
This entry pairs a crystal structure of CsLaZr6CCl18 with its theoretical X-ray diffraction stick pattern. Radiation: Cu Ka. Structure: a DFT-relaxed cell (GGA-PBE, the Materials Project).

The 10 most intense peaks (10° ≤ 2θ ≤ 80°), sorted by position:
- d = 8.371 Å, intensity 57
- d = 6.178 Å, intensity 100
- d = 4.274 Å, intensity 51
- d = 4.016 Å, intensity 30
- d = 3.323 Å, intensity 33
- d = 3.164 Å, intensity 29
- d = 2.669 Å, intensity 24
- d = 2.603 Å, intensity 73
- d = 2.196 Å, intensity 29
- d = 1.827 Å, intensity 24

Structural model:
Lattice parameters (Å, degrees): 9.6663 9.6663 18.3088 90.00 90.00 120.00
Space group P-31c (No. 163)
Symmetry-distinct sites (fractional):
Cs: 0.3333 0.6667 0.2500 [2 per cell]
La: 0.3333 0.6667 0.7500 [2 per cell]
Zr: 0.0386 0.2100 0.9279 [12 per cell]
C: 0.0000 0.0000 0.0000 [2 per cell]
Cl: 0.0425 0.2330 0.1602 [12 per cell]
Cl: 0.0747 0.4522 0.8392 [12 per cell]
Cl: 0.1486 0.4221 0.4993 [12 per cell]